Diffraction record for Nd2Te3. The XRD peak list is theoretical, not measured: it uses a crystal structure in Alexandria, relaxed with GGA-PBE and copper Kα.

```
Nd2Te3
1.0
12.3699 0.0000 0.0000
0.0000 4.4377 0.0000
0.0000 0.0000 12.0133
Nd Te
8 12
direct
0.0166 0.2500 0.1876
0.1965 0.2500 0.4972
0.3035 0.7500 0.9972
0.4834 0.7500 0.6876
0.5166 0.2500 0.3124
0.6965 0.2500 0.0028
0.8035 0.7500 0.5028
0.9834 0.7500 0.8124
0.0421 0.7500 0.3772
0.1194 0.2500 0.9426
0.2254 0.7500 0.6978
0.2746 0.2500 0.1978
0.3806 0.7500 0.4426
0.4579 0.2500 0.8772
0.5421 0.7500 0.1228
0.6194 0.2500 0.5574
0.7254 0.7500 0.8022
0.7746 0.2500 0.3022
0.8806 0.7500 0.0574
0.9579 0.2500 0.6228
```

Top 10 peaks for 2θ = 10–80°, in order of rising 2θ:
2θ/deg  intensity  (hkl)
26.0  39  1 1 2
28.9  63  4 0 0
30.1  62  0 1 3
30.5  53  3 1 1
30.9  63  1 1 3
33.2  100  3 1 2
36.2  36  4 1 1
38.5  33  4 1 2
40.7  59  0 2 0
43.6  33  3 0 5